Entry 1:
The following is a theoretical powder X-ray diffraction pattern of TaTeO5. It was derived from a structure optimized by DFT (PBE), using Cu Ka.
Peak positions follow from Bragg's law for the DFT cell and can differ from measured ones.

Atomic structure:
```
TaTeO5
1.0
4.959 0.000 0.000
1.346 5.384 0.000
2.141 2.159 6.784
Ta Te O
2 2 10
Direct
0.000 0.000 0.000
0.030 0.000 0.501
0.487 0.522 0.718
0.531 0.502 0.217
0.177 0.666 0.143
0.190 0.827 0.765
0.217 0.287 0.828
0.329 0.207 0.385
0.346 0.670 0.471
0.636 0.388 0.959
0.664 0.884 0.036
0.758 0.753 0.609
0.767 0.262 0.608
0.954 0.086 0.241
```

Peak list (10 most intense, 10° ≤ 2θ ≤ 80°, by angle)
- d = 3.770 Å, I 100
- d = 3.333 Å, I 71
- d = 3.218 Å, I 62
- d = 3.096 Å, I 53
- d = 2.565 Å, I 25
- d = 2.499 Å, I 61
- d = 2.345 Å, I 19
- d = 2.296 Å, I 20
- d = 1.885 Å, I 19
- d = 1.695 Å, I 18

Entry 2:
The following is a theoretical powder X-ray diffraction pattern of Ta2Te2O9. It was derived from a structure optimized by DFT (PBE), using Cu Ka.
Peak positions follow from Bragg's law for the DFT cell and can differ from measured ones.

Atomic structure:
```
Ta2Te2O9
1.0
7.239 0.000 0.000
0.000 7.666 0.000
-3.213 0.000 14.618
Ta Te O
8 8 36
Direct
0.054 0.199 0.432
0.054 0.301 0.932
0.364 0.005 0.097
0.364 0.495 0.597
0.636 0.505 0.403
0.636 0.995 0.903
0.946 0.699 0.068
0.946 0.801 0.568
0.131 0.628 0.314
0.131 0.872 0.814
0.456 0.066 0.329
0.456 0.434 0.829
0.544 0.566 0.171
0.544 0.934 0.671
0.869 0.128 0.186
0.869 0.372 0.686
0.000 0.000 0.500
0.000 0.500 0.000
0.102 0.588 0.187
0.102 0.912 0.687
0.113 0.107 0.848
0.113 0.393 0.348
0.171 0.667 0.553
0.171 0.833 0.053
0.210 0.196 0.039
0.210 0.304 0.539
0.272 0.059 0.216
0.272 0.441 0.716
0.280 0.064 0.406
0.280 0.436 0.906
0.401 0.652 0.332
0.401 0.848 0.832
0.487 0.190 0.830
0.487 0.310 0.330
0.500 0.000 0.000
0.500 0.500 0.500
0.513 0.690 0.670
0.513 0.810 0.170
0.599 0.152 0.168
0.599 0.348 0.668
0.720 0.564 0.094
0.720 0.936 0.594
0.728 0.559 0.284
0.728 0.941 0.784
0.790 0.696 0.461
0.790 0.804 0.961
0.829 0.167 0.947
0.829 0.333 0.447
0.887 0.607 0.652
0.887 0.893 0.152
0.898 0.088 0.313
0.898 0.412 0.813
```

Peak list (10 most intense, 10° ≤ 2θ ≤ 80°, by angle)
- d = 4.670 Å, I 34
- d = 4.596 Å, I 36
- d = 3.708 Å, I 65
- d = 3.369 Å, I 81
- d = 3.303 Å, I 100
- d = 3.272 Å, I 77
- d = 3.240 Å, I 39
- d = 3.176 Å, I 52
- d = 2.946 Å, I 47
- d = 2.739 Å, I 42

Entry 3:
The following is a theoretical powder X-ray diffraction pattern of ThTa3Tl2O12. It was derived from a structure optimized by DFT (PBE), using Cu Ka.
Peak positions follow from Bragg's law for the DFT cell and can differ from measured ones.

Atomic structure:
```
ThTa3Tl2O12
1.0
3.810 2.200 5.353
-3.810 2.200 5.353
0.000 -4.400 5.353
Th Ta Tl O
1 3 2 12
Direct
0.000 0.000 0.000
0.000 0.000 0.500
0.000 0.500 0.000
0.500 0.000 0.000
0.353 0.353 0.353
0.647 0.647 0.647
0.091 0.738 0.738
0.140 0.140 0.587
0.140 0.587 0.140
0.262 0.262 0.909
0.262 0.909 0.262
0.413 0.860 0.860
0.587 0.140 0.140
0.738 0.091 0.738
0.738 0.738 0.091
0.860 0.413 0.860
0.860 0.860 0.413
0.909 0.262 0.262
```

Peak list (10 most intense, 10° ≤ 2θ ≤ 80°, by angle)
- d = 6.104 Å, I 18
- d = 3.810 Å, I 24
- d = 3.232 Å, I 34
- d = 3.104 Å, I 100
- d = 3.052 Å, I 30
- d = 2.677 Å, I 24
- d = 2.035 Å, I 34
- d = 1.905 Å, I 34
- d = 1.552 Å, I 26
- d = 1.391 Å, I 19

Entry 4:
The following is a theoretical powder X-ray diffraction pattern of Ta3TiO7. It was derived from a structure optimized by DFT (PBE), using Cu Ka.
Peak positions follow from Bragg's law for the DFT cell and can differ from measured ones.

Atomic structure:
```
Ta3TiO7
1.0
4.162 2.403 2.619
-4.162 2.403 2.619
0.000 -4.806 2.619
Ta Ti O
3 1 7
Direct
0.220 0.890 0.890
0.890 0.220 0.890
0.890 0.890 0.220
0.431 0.431 0.431
0.027 0.027 0.605
0.027 0.605 0.027
0.190 0.190 0.190
0.265 0.622 0.622
0.605 0.027 0.027
0.622 0.265 0.622
0.622 0.622 0.265
```

Peak list (10 most intense, 10° ≤ 2θ ≤ 80°, by angle)
- d = 5.312 Å, I 100
- d = 3.450 Å, I 62
- d = 3.276 Å, I 65
- d = 2.656 Å, I 17
- d = 2.574 Å, I 40
- d = 2.403 Å, I 42
- d = 2.239 Å, I 27
- d = 1.938 Å, I 29
- d = 1.782 Å, I 17
- d = 1.771 Å, I 53

Entry 5:
The following is a theoretical powder X-ray diffraction pattern of TaTi2O6. It was derived from a structure optimized by DFT (PBE), using Cu Ka.
Peak positions follow from Bragg's law for the DFT cell and can differ from measured ones.

Atomic structure:
```
TaTi2O6
1.0
5.018 -1.824 0.000
5.018 1.824 0.000
-3.258 0.000 5.626
Ta Ti O
1 2 6
Direct
0.000 0.000 0.000
0.179 0.179 0.621
0.821 0.821 0.379
0.025 0.025 0.712
0.253 0.253 0.363
0.369 0.369 0.920
0.631 0.631 0.080
0.747 0.747 0.637
0.975 0.975 0.288
```

Peak list (10 most intense, 10° ≤ 2θ ≤ 80°, by angle)
- d = 5.626 Å, I 34
- d = 4.789 Å, I 80
- d = 3.364 Å, I 100
- d = 3.205 Å, I 56
- d = 2.819 Å, I 63
- d = 2.668 Å, I 30
- d = 2.466 Å, I 42
- d = 2.399 Å, I 24
- d = 1.865 Å, I 29
- d = 1.615 Å, I 24

Entry 6:
The following is a theoretical powder X-ray diffraction pattern of TaTiO5. It was derived from a structure optimized by DFT (PBE), using Cu Ka.
Peak positions follow from Bragg's law for the DFT cell and can differ from measured ones.

Atomic structure:
```
TaTiO5
1.0
-1.880 3.222 3.838
1.880 -3.222 3.838
1.880 3.222 -3.838
Ta Ti O
1 1 5
Direct
0.000 0.000 0.000
0.500 0.500 0.000
0.000 0.500 0.500
0.261 0.261 0.000
0.314 0.000 0.314
0.686 0.000 0.686
0.739 0.739 0.000
```

Peak list (10 most intense, 10° ≤ 2θ ≤ 80°, by angle)
- d = 4.935 Å, I 87
- d = 3.838 Å, I 86
- d = 3.377 Å, I 44
- d = 3.248 Å, I 100
- d = 3.222 Å, I 60
- d = 2.479 Å, I 49
- d = 2.467 Å, I 31
- d = 1.865 Å, I 28
- d = 1.677 Å, I 24
- d = 1.652 Å, I 27

Entry 7:
The following is a theoretical powder X-ray diffraction pattern of TaTiTlO5. It was derived from a structure optimized by DFT (PBE), using Cu Ka.
Peak positions follow from Bragg's law for the DFT cell and can differ from measured ones.

Atomic structure:
```
TaTiTlO5
1.0
6.512 0.000 0.000
0.000 3.827 0.000
0.000 0.000 19.284
Ta Ti Tl O
4 4 4 20
Direct
0.224 0.250 0.105
0.276 0.750 0.605
0.724 0.250 0.395
0.776 0.750 0.895
0.180 0.250 0.466
0.320 0.750 0.966
0.680 0.250 0.034
0.820 0.750 0.534
0.235 0.250 0.799
0.265 0.750 0.299
0.735 0.250 0.701
0.765 0.750 0.201
0.033 0.250 0.384
0.065 0.750 0.931
0.146 0.750 0.492
0.160 0.250 0.197
0.239 0.750 0.077
0.261 0.250 0.577
0.340 0.750 0.697
0.354 0.250 0.992
0.435 0.250 0.431
0.467 0.750 0.884
0.533 0.250 0.116
0.565 0.750 0.569
0.646 0.750 0.008
0.660 0.250 0.303
0.739 0.750 0.423
0.761 0.250 0.923
0.840 0.750 0.803
0.854 0.250 0.508
0.935 0.250 0.069
0.967 0.750 0.616
```

Peak list (10 most intense, 10° ≤ 2θ ≤ 80°, by angle)
- d = 3.875 Å, I 66
- d = 3.288 Å, I 81
- d = 3.255 Å, I 100
- d = 2.935 Å, I 86
- d = 2.882 Å, I 70
- d = 2.314 Å, I 39
- d = 1.913 Å, I 23
- d = 1.798 Å, I 35
- d = 1.650 Å, I 18
- d = 1.594 Å, I 25

Entry 8:
The following is a theoretical powder X-ray diffraction pattern of TaTiTl2O6. It was derived from a structure optimized by DFT (PBE), using Cu Ka.
Peak positions follow from Bragg's law for the DFT cell and can differ from measured ones.

Atomic structure:
```
TaTiTl2O6
1.0
2.958 1.708 9.566
-2.958 1.708 9.566
0.000 -3.415 9.566
Ta Ti Tl O
2 2 4 12
Direct
0.100 0.100 0.100
0.900 0.900 0.900
0.000 0.000 0.000
0.500 0.500 0.500
0.238 0.238 0.238
0.370 0.370 0.370
0.630 0.630 0.630
0.762 0.762 0.762
0.097 0.097 0.667
0.097 0.667 0.097
0.212 0.701 0.701
0.299 0.299 0.788
0.299 0.788 0.299
0.333 0.903 0.903
0.667 0.097 0.097
0.701 0.212 0.701
0.701 0.701 0.212
0.788 0.299 0.299
0.903 0.333 0.903
0.903 0.903 0.333
```

Peak list (10 most intense, 10° ≤ 2θ ≤ 80°, by angle)
- d = 4.783 Å, I 17
- d = 3.201 Å, I 33
- d = 2.958 Å, I 100
- d = 2.939 Å, I 56
- d = 2.517 Å, I 25
- d = 2.171 Å, I 26
- d = 2.085 Å, I 23
- d = 1.708 Å, I 20
- d = 1.704 Å, I 24
- d = 1.607 Å, I 35